Theoretical powder X-ray diffraction pattern of Re5Rh3 for CuKα, from a structure optimized by DFT (PBE).

Most intense lines, 10 to 90 degrees two-theta, by angle:
| 2θ (°) | Rel. int. |
| --- | --- |
| 37.8 | 28 |
| 40.9 | 40 |
| 42.6 | 58 |
| 43.2 | 100 |
| 57.0 | 17 |
| 67.4 | 18 |
| 76.1 | 19 |
| 81.9 | 22 |

Crystal structure
abc: 2.728 17.640 4.847
angles: 90.00 90.00 90.00
Atoms (fractional coordinates):
Re1 0.000 0.000 0.000
Re2 0.000 0.124 0.678
Re3 0.000 0.249 0.000
Re4 0.000 0.751 0.000
Re5 0.000 0.876 0.678
Re6 0.500 0.251 0.500
Re7 0.500 0.376 0.178
Re8 0.500 0.500 0.500
Re9 0.500 0.624 0.178
Re10 0.500 0.749 0.500
Rh1 0.000 0.373 0.674
Rh2 0.000 0.500 0.000
Rh3 0.000 0.627 0.674
Rh4 0.500 0.000 0.500
Rh5 0.500 0.127 0.174
Rh6 0.500 0.873 0.174


Theoretical powder X-ray diffraction pattern of Hg3Bi4Pb8 for CuKα, from a structure optimized by DFT (PBE).

Most intense lines, 10 to 90 degrees two-theta, by angle:
| 2θ (°) | Rel. int. |
| --- | --- |
| 28.2 | 100 |
| 30.1 | 86 |
| 30.3 | 84 |
| 32.0 | 77 |
| 41.7 | 71 |
| 41.8 | 71 |
| 43.2 | 65 |
| 60.6 | 24 |

Crystal structure
abc: 9.126 9.126 6.979
angles: 112.24 112.24 87.83
Atoms (fractional coordinates):
Hg1 0.000 0.000 0.000
Hg2 0.000 0.500 0.000
Hg3 0.500 0.000 0.000
Bi1 0.000 0.000 0.500
Bi2 0.000 0.500 0.500
Bi3 0.500 0.000 0.500
Bi4 0.500 0.500 0.000
Pb1 0.246 0.754 0.000
Pb2 0.257 0.257 0.015
Pb3 0.257 0.257 0.497
Pb4 0.262 0.738 0.500
Pb5 0.738 0.262 0.500
Pb6 0.743 0.743 0.503
Pb7 0.743 0.743 0.985
Pb8 0.754 0.246 0.000


Theoretical powder X-ray diffraction pattern of PrBiRh for CuKα, from a structure optimized by DFT (PBE).

Most intense lines, 10 to 90 degrees two-theta, by angle:
| 2θ (°) | Rel. int. |
| --- | --- |
| 31.2 | 62 |
| 32.2 | 100 |
| 32.4 | 36 |
| 37.4 | 42 |
| 37.6 | 55 |
| 38.2 | 76 |
| 54.1 | 29 |
| 61.8 | 32 |

Crystal structure
abc: 7.542 4.786 8.127
angles: 90.00 90.00 90.00
Atoms (fractional coordinates):
Pr1 0.015 0.250 0.196
Pr2 0.485 0.750 0.696
Pr3 0.515 0.250 0.304
Pr4 0.985 0.750 0.804
Bi1 0.183 0.250 0.589
Bi2 0.317 0.750 0.089
Bi3 0.683 0.250 0.911
Bi4 0.817 0.750 0.411
Rh1 0.205 0.750 0.418
Rh2 0.295 0.250 0.918
Rh3 0.705 0.750 0.082
Rh4 0.795 0.250 0.582


Theoretical powder X-ray diffraction pattern of K2ZnGe2O6 for CuKα, from a structure optimized by DFT (PBE).

Most intense lines, 10 to 90 degrees two-theta, by angle:
| 2θ (°) | Rel. int. |
| --- | --- |
| 16.2 | 32 |
| 18.1 | 100 |
| 28.5 | 34 |
| 29.4 | 100 |
| 30.2 | 70 |
| 31.3 | 34 |
| 36.8 | 37 |
| 37.5 | 23 |

Crystal structure
abc: 5.958 5.958 10.948
angles: 90.00 90.00 113.50
Atoms (fractional coordinates):
K1 0.069 0.722 0.578
K2 0.278 0.931 0.922
K3 0.722 0.069 0.422
K4 0.931 0.278 0.078
Zn1 0.204 0.796 0.250
Zn2 0.796 0.204 0.750
Ge1 0.333 0.348 0.360
Ge2 0.348 0.333 0.640
Ge3 0.652 0.667 0.140
Ge4 0.667 0.652 0.860
O1 0.029 0.217 0.619
O2 0.113 0.461 0.320
O3 0.217 0.029 0.381
O4 0.424 0.576 0.750
O5 0.461 0.113 0.680
O6 0.492 0.492 0.500
O7 0.508 0.508 0.000
O8 0.539 0.887 0.180
O9 0.576 0.424 0.250
O10 0.783 0.971 0.881
O11 0.887 0.539 0.820
O12 0.971 0.783 0.119


Theoretical powder X-ray diffraction pattern of Zr3Pt5 for CuKα, from a structure optimized by DFT (PBE).

Most intense lines, 10 to 90 degrees two-theta, by angle:
| 2θ (°) | Rel. int. |
| --- | --- |
| 12.7 | 44 |
| 27.4 | 22 |
| 38.7 | 100 |
| 39.7 | 86 |
| 56.6 | 29 |
| 70.0 | 15 |
| 70.6 | 28 |
| 81.3 | 24 |

Crystal structure
abc: 8.068 8.068 5.498
angles: 90.00 90.00 120.00
Atoms (fractional coordinates):
Zr1 0.000 0.307 0.250
Zr2 0.000 0.693 0.750
Zr3 0.307 0.000 0.250
Zr4 0.307 0.307 0.750
Zr5 0.693 0.000 0.750
Zr6 0.693 0.693 0.250
Pt1 0.000 0.355 0.750
Pt2 0.000 0.645 0.250
Pt3 0.333 0.667 0.000
Pt4 0.333 0.667 0.500
Pt5 0.355 0.000 0.750
Pt6 0.355 0.355 0.250
Pt7 0.645 0.000 0.250
Pt8 0.645 0.645 0.750
Pt9 0.667 0.333 0.000
Pt10 0.667 0.333 0.500


Theoretical powder X-ray diffraction pattern of CdSiSnO5 for CuKα, from a structure optimized by DFT (PBE).

Most intense lines, 10 to 90 degrees two-theta, by angle:
| 2θ (°) | Rel. int. |
| --- | --- |
| 17.8 | 24 |
| 26.3 | 100 |
| 28.3 | 74 |
| 33.6 | 49 |
| 33.7 | 72 |
| 41.3 | 26 |
| 49.6 | 32 |
| 53.7 | 26 |

Crystal structure
abc: 5.602 5.602 7.404
angles: 105.11 105.11 103.39
Atoms (fractional coordinates):
Cd1 0.165 0.835 0.750
Cd2 0.835 0.165 0.250
Si1 0.177 0.823 0.250
Si2 0.823 0.177 0.750
Sn1 0.500 0.500 0.000
Sn2 0.500 0.500 0.500
O1 0.120 0.234 0.904
O2 0.183 0.616 0.373
O3 0.234 0.120 0.404
O4 0.384 0.817 0.127
O5 0.410 0.590 0.750
O6 0.590 0.410 0.250
O7 0.616 0.183 0.873
O8 0.766 0.880 0.596
O9 0.817 0.384 0.627
O10 0.880 0.766 0.096


Theoretical powder X-ray diffraction pattern of Rb4In2Co for CuKα, from a structure optimized by DFT (PBE).

Most intense lines, 10 to 90 degrees two-theta, by angle:
| 2θ (°) | Rel. int. |
| --- | --- |
| 10.4 | 42 |
| 17.7 | 49 |
| 25.1 | 100 |
| 29.1 | 64 |
| 35.8 | 39 |
| 38.8 | 59 |
| 53.8 | 26 |
| 60.3 | 27 |

Crystal structure
abc: 7.095 7.095 17.025
angles: 90.00 90.00 90.00
Atoms (fractional coordinates):
Rb1 0.000 0.000 0.198
Rb2 0.000 0.000 0.802
Rb3 0.000 0.500 0.000
Rb4 0.000 0.500 0.500
Rb5 0.500 0.000 0.000
Rb6 0.500 0.000 0.500
Rb7 0.500 0.500 0.302
Rb8 0.500 0.500 0.698
In1 0.000 0.000 0.416
In2 0.000 0.000 0.584
In3 0.500 0.500 0.084
In4 0.500 0.500 0.916
Co1 0.000 0.000 0.000
Co2 0.500 0.500 0.500